The following is a computed XRD peak list of PrHo7Sc4. It was derived from a DFT-relaxed cell (GGA-PBE, Alexandria), using Cu Ka.
Kinematic intensities with the Lorentz-polarization factor, no thermal factor.

Structure:
```
data_PrHo7Sc4
_symmetry_space_group_name_H-M 'P 1'
_symmetry_Int_Tables_number 1
_cell_length_a 6.0290
_cell_length_b 6.9650
_cell_length_c 8.5584
_cell_angle_alpha 89.96
_cell_angle_beta 76.25
_cell_angle_gamma 89.99
loop_
_symmetry_equiv_pos_as_xyz
'x,y,z'
loop_
_atom_site_label
_atom_site_type_symbol
_atom_site_fract_x
_atom_site_fract_y
_atom_site_fract_z
Pr1 Pr 0.0000 0.0000 0.0000
Ho1 Ho 0.0000 0.5000 0.0000
Ho2 Ho 0.2249 0.0005 0.3377
Ho3 Ho 0.2841 0.7425 0.6598
Ho4 Ho 0.4980 0.2554 0.9955
Ho5 Ho 0.5020 0.7446 0.0045
Ho6 Ho 0.7159 0.2575 0.3402
Ho7 Ho 0.7751 0.9995 0.6623
Sc1 Sc 0.2163 0.4996 0.3404
Sc2 Sc 0.2752 0.2560 0.6616
Sc3 Sc 0.7248 0.7440 0.3384
Sc4 Sc 0.7837 0.5004 0.6596
```

Principal peaks in the range 2θ from 5° to 70°, in order of rising 2θ:
2θ/deg, Rel. int.
29.85, 52
32.31, 49
33.00, 100
34.77, 96
52.57, 37
56.93, 13
60.31, 14
63.00, 21
63.13, 21
64.58, 15

---

The following is a computed XRD peak list of PrHo6Sc3. It was derived from a DFT-relaxed cell (GGA-PBE, Alexandria), using Cu Ka.
Kinematic intensities with the Lorentz-polarization factor, no thermal factor.

Structure:
```
data_PrHo6Sc3
_symmetry_space_group_name_H-M 'P 1'
_symmetry_Int_Tables_number 1
_cell_length_a 6.6987
_cell_length_b 6.6987
_cell_length_c 6.6987
_cell_angle_alpha 91.60
_cell_angle_beta 91.60
_cell_angle_gamma 91.60
loop_
_symmetry_equiv_pos_as_xyz
'x,y,z'
loop_
_atom_site_label
_atom_site_type_symbol
_atom_site_fract_x
_atom_site_fract_y
_atom_site_fract_z
Pr1 Pr 0.0000 0.0000 0.0000
Ho1 Ho 0.0000 0.3416 0.6584
Ho2 Ho 0.1653 0.8347 0.5000
Ho3 Ho 0.3416 0.6584 0.0000
Ho4 Ho 0.5000 0.1653 0.8347
Ho5 Ho 0.6584 0.0000 0.3416
Ho6 Ho 0.8347 0.5000 0.1653
Sc1 Sc 0.2606 0.2606 0.2606
Sc2 Sc 0.5000 0.5000 0.5000
Sc3 Sc 0.7394 0.7394 0.7394
```

Principal peaks in the range 2θ from 5° to 70°, in order of rising 2θ:
2θ/deg, Rel. int.
18.47, 9
30.20, 100
32.29, 90
44.79, 34
48.44, 8
52.28, 4
56.28, 34
57.58, 17
59.42, 24
67.57, 10

---

The following is a computed XRD peak list of PrHo2Sc5. It was derived from a DFT-relaxed cell (GGA-PBE, Alexandria), using Cu Ka.
Kinematic intensities with the Lorentz-polarization factor, no thermal factor.

Structure:
```
data_PrHo2Sc5
_symmetry_space_group_name_H-M 'P 1'
_symmetry_Int_Tables_number 1
_cell_length_a 6.7100
_cell_length_b 6.7100
_cell_length_c 6.7100
_cell_angle_alpha 118.72
_cell_angle_beta 118.72
_cell_angle_gamma 92.22
loop_
_symmetry_equiv_pos_as_xyz
'x,y,z'
loop_
_atom_site_label
_atom_site_type_symbol
_atom_site_fract_x
_atom_site_fract_y
_atom_site_fract_z
Pr1 Pr 0.0000 0.0000 0.0000
Ho1 Ho 0.0004 0.5004 0.5000
Ho2 Ho 0.5004 0.0004 0.5000
Sc1 Sc 0.0006 0.0006 0.5004
Sc2 Sc 0.0006 0.5002 0.0000
Sc3 Sc 0.5002 0.0006 0.0000
Sc4 Sc 0.5002 0.5002 0.4996
Sc5 Sc 0.5008 0.5008 0.0000
```

Principal peaks in the range 2θ from 5° to 70°, in order of rising 2θ:
2θ/deg, Rel. int.
19.08, 21
26.06, 20
32.50, 100
37.18, 34
38.71, 15
42.12, 12
53.60, 12
54.76, 22
64.10, 27
66.17, 12

---

The following is a computed XRD peak list of Pr2Ho6Sc. It was derived from a DFT-relaxed cell (GGA-PBE, Alexandria), using Cu Ka.
Kinematic intensities with the Lorentz-polarization factor, no thermal factor.

Structure:
```
data_Pr2Ho6Sc
_symmetry_space_group_name_H-M 'P 1'
_symmetry_Int_Tables_number 1
_cell_length_a 10.0068
_cell_length_b 10.0068
_cell_length_c 6.0395
_cell_angle_alpha 95.80
_cell_angle_beta 95.80
_cell_angle_gamma 70.32
loop_
_symmetry_equiv_pos_as_xyz
'x,y,z'
loop_
_atom_site_label
_atom_site_type_symbol
_atom_site_fract_x
_atom_site_fract_y
_atom_site_fract_z
Pr1 Pr 0.0664 0.2766 0.0611
Pr2 Pr 0.2766 0.0664 0.5611
Pr3 Pr 0.7234 0.9336 0.4389
Pr4 Pr 0.9336 0.7234 0.9389
Ho1 Ho 0.0929 0.8089 0.4889
Ho2 Ho 0.1604 0.4322 0.6334
Ho3 Ho 0.1911 0.9071 0.0111
Ho4 Ho 0.2611 0.5252 0.1720
Ho5 Ho 0.4322 0.1604 0.1334
Ho6 Ho 0.4748 0.7389 0.3280
Ho7 Ho 0.5252 0.2611 0.6720
Ho8 Ho 0.5678 0.8396 0.8666
Ho9 Ho 0.7389 0.4748 0.8280
Ho10 Ho 0.8089 0.0929 0.9889
Ho11 Ho 0.8396 0.5678 0.3666
Ho12 Ho 0.9071 0.1911 0.5111
Sc1 Sc 0.3963 0.6037 0.7500
Sc2 Sc 0.6037 0.3963 0.2500
```

Principal peaks in the range 2θ from 5° to 70°, in order of rising 2θ:
2θ/deg, Rel. int.
30.65, 100
31.04, 47
32.12, 89
37.94, 54
49.80, 21
51.27, 24
55.91, 14
56.05, 17
56.35, 16
61.53, 12

---

The following is a computed XRD peak list of Pr8HoSc3. It was derived from a DFT-relaxed cell (GGA-PBE, Alexandria), using Cu Ka.
Kinematic intensities with the Lorentz-polarization factor, no thermal factor.

Structure:
```
data_Pr8HoSc3
_symmetry_space_group_name_H-M 'P 1'
_symmetry_Int_Tables_number 1
_cell_length_a 8.6462
_cell_length_b 8.6462
_cell_length_c 8.6462
_cell_angle_alpha 133.32
_cell_angle_beta 102.34
_cell_angle_gamma 95.75
loop_
_symmetry_equiv_pos_as_xyz
'x,y,z'
loop_
_atom_site_label
_atom_site_type_symbol
_atom_site_fract_x
_atom_site_fract_y
_atom_site_fract_z
Pr1 Pr 0.0840 0.2480 0.8360
Pr2 Pr 0.2123 0.2773 0.4896
Pr3 Pr 0.2123 0.7227 0.9351
Pr4 Pr 0.4121 0.2480 0.1640
Pr5 Pr 0.5879 0.7520 0.8360
Pr6 Pr 0.7877 0.2773 0.0649
Pr7 Pr 0.7877 0.7227 0.5104
Pr8 Pr 0.9160 0.7520 0.1640
Ho1 Ho 0.5000 0.5000 0.0000
Sc1 Sc 0.0000 0.0000 0.0000
Sc2 Sc 0.2128 0.7128 0.5000
Sc3 Sc 0.7872 0.2872 0.5000
```

Principal peaks in the range 2θ from 5° to 70°, in order of rising 2θ:
2θ/deg, Rel. int.
15.30, 55
16.35, 33
25.82, 23
30.30, 65
30.85, 80
31.97, 100
34.62, 90
36.59, 25
55.53, 29
57.31, 27

---

The following is a computed XRD peak list of Pr7Ho4Sc. It was derived from a DFT-relaxed cell (GGA-PBE, Alexandria), using Cu Ka.
Kinematic intensities with the Lorentz-polarization factor, no thermal factor.

Structure:
```
data_Pr7Ho4Sc
_symmetry_space_group_name_H-M 'P 1'
_symmetry_Int_Tables_number 1
_cell_length_a 6.2646
_cell_length_b 7.3122
_cell_length_c 9.0140
_cell_angle_alpha 90.00
_cell_angle_beta 103.31
_cell_angle_gamma 90.00
loop_
_symmetry_equiv_pos_as_xyz
'x,y,z'
loop_
_atom_site_label
_atom_site_type_symbol
_atom_site_fract_x
_atom_site_fract_y
_atom_site_fract_z
Pr1 Pr 0.0000 0.0000 0.0000
Pr2 Pr 0.2191 0.5000 0.6654
Pr3 Pr 0.2286 0.0000 0.6623
Pr4 Pr 0.5000 0.2552 0.0000
Pr5 Pr 0.5000 0.7448 0.0000
Pr6 Pr 0.7714 0.0000 0.3377
Pr7 Pr 0.7809 0.5000 0.3346
Ho1 Ho 0.2752 0.2542 0.3292
Ho2 Ho 0.2752 0.7458 0.3292
Ho3 Ho 0.7248 0.2542 0.6708
Ho4 Ho 0.7248 0.7458 0.6708
Sc1 Sc 0.0000 0.5000 0.0000
```

Principal peaks in the range 2θ from 5° to 70°, in order of rising 2θ:
2θ/deg, Rel. int.
28.47, 29
29.09, 27
30.57, 76
31.41, 100
31.66, 47
33.09, 86
33.26, 41
50.32, 38
57.06, 26
60.04, 45

---

Please write out number 5 again, unchanged.
The following is a computed XRD peak list of Pr8HoSc3. It was derived from a DFT-relaxed cell (GGA-PBE, Alexandria), using Cu Ka.
Kinematic intensities with the Lorentz-polarization factor, no thermal factor.

Structure:
```
data_Pr8HoSc3
_symmetry_space_group_name_H-M 'P 1'
_symmetry_Int_Tables_number 1
_cell_length_a 8.6462
_cell_length_b 8.6462
_cell_length_c 8.6462
_cell_angle_alpha 133.32
_cell_angle_beta 102.34
_cell_angle_gamma 95.75
loop_
_symmetry_equiv_pos_as_xyz
'x,y,z'
loop_
_atom_site_label
_atom_site_type_symbol
_atom_site_fract_x
_atom_site_fract_y
_atom_site_fract_z
Pr1 Pr 0.0840 0.2480 0.8360
Pr2 Pr 0.2123 0.2773 0.4896
Pr3 Pr 0.2123 0.7227 0.9351
Pr4 Pr 0.4121 0.2480 0.1640
Pr5 Pr 0.5879 0.7520 0.8360
Pr6 Pr 0.7877 0.2773 0.0649
Pr7 Pr 0.7877 0.7227 0.5104
Pr8 Pr 0.9160 0.7520 0.1640
Ho1 Ho 0.5000 0.5000 0.0000
Sc1 Sc 0.0000 0.0000 0.0000
Sc2 Sc 0.2128 0.7128 0.5000
Sc3 Sc 0.7872 0.2872 0.5000
```

Principal peaks in the range 2θ from 5° to 70°, in order of rising 2θ:
2θ/deg, Rel. int.
15.30, 55
16.35, 33
25.82, 23
30.30, 65
30.85, 80
31.97, 100
34.62, 90
36.59, 25
55.53, 29
57.31, 27